# 1
For UH2S2O10, a structure optimized by DFT (GGA-PBE) gives the simulated X-ray powder pattern in this record (CuKα).
No peak broadening, texture or thermal motion is included.

Structure:
```
UH2S2O10
1.0
8.138 0.000 0.000
0.000 8.344 0.000
-4.680 0.000 12.696
U H S O
4 8 8 40
direct
0.183 0.223 0.415
0.183 0.277 0.915
0.817 0.723 0.085
0.817 0.777 0.585
0.244 0.697 0.395
0.244 0.803 0.895
0.477 0.554 0.269
0.477 0.946 0.769
0.523 0.054 0.231
0.523 0.446 0.731
0.756 0.197 0.105
0.756 0.303 0.605
0.022 0.126 0.129
0.022 0.374 0.629
0.465 0.602 0.845
0.465 0.898 0.345
0.535 0.102 0.655
0.535 0.398 0.155
0.978 0.626 0.371
0.978 0.874 0.871
0.000 0.042 0.846
0.000 0.458 0.346
0.000 0.542 0.654
0.000 0.958 0.154
0.003 0.597 0.103
0.003 0.903 0.603
0.101 0.221 0.226
0.101 0.279 0.726
0.122 0.142 0.058
0.122 0.358 0.558
0.161 0.699 0.435
0.161 0.801 0.935
0.348 0.012 0.370
0.348 0.488 0.870
0.356 0.091 0.577
0.356 0.409 0.077
0.367 0.149 0.934
0.367 0.351 0.434
0.393 0.736 0.328
0.393 0.764 0.828
0.476 0.555 0.735
0.476 0.945 0.235
0.524 0.055 0.765
0.524 0.445 0.265
0.607 0.236 0.172
0.607 0.264 0.672
0.633 0.649 0.566
0.633 0.851 0.066
0.644 0.591 0.923
0.644 0.909 0.423
0.652 0.512 0.130
0.652 0.988 0.630
0.839 0.199 0.065
0.839 0.301 0.565
0.878 0.642 0.442
0.878 0.858 0.942
0.899 0.721 0.274
0.899 0.779 0.774
0.997 0.097 0.397
0.997 0.403 0.897
```

Main lines, by intensity (15° ≤ 2θ ≤ 90°):
h k l	Position (°2θ)	I/Imax
1 1 0	15.73	1000
1 1 -2	18.19	538
0 1 4	30.12	455
1 0 2	21.07	434
2 1 0	25.66	260
0 1 2	17.55	252

# 2
For YH5S3O13, a structure optimized by DFT (GGA-PBE) gives the simulated X-ray powder pattern in this record (CuKα).
No peak broadening, texture or thermal motion is included.

Structure:
```
YH5S3O13
1.0
6.869 0.000 0.000
1.746 7.929 0.000
2.095 1.297 9.426
Y H S O
2 10 6 26
direct
0.134 0.177 0.193
0.866 0.823 0.807
0.072 0.276 0.681
0.199 0.420 0.364
0.407 0.289 0.364
0.422 0.635 0.118
0.492 0.637 0.396
0.508 0.363 0.604
0.578 0.365 0.882
0.593 0.711 0.636
0.801 0.580 0.636
0.928 0.724 0.319
0.199 0.389 0.819
0.205 0.792 0.455
0.306 0.835 0.959
0.694 0.165 0.041
0.795 0.208 0.545
0.801 0.611 0.181
0.054 0.538 0.774
0.104 0.852 0.589
0.106 0.671 0.410
0.162 0.335 0.971
0.176 0.239 0.746
0.185 0.823 0.857
0.202 0.959 0.056
0.253 0.929 0.341
0.275 0.312 0.334
0.326 0.653 0.049
0.413 0.411 0.768
0.417 0.685 0.486
0.491 0.135 0.110
0.509 0.865 0.890
0.583 0.315 0.514
0.587 0.589 0.232
0.674 0.347 0.951
0.725 0.688 0.666
0.747 0.071 0.659
0.798 0.041 0.944
0.815 0.177 0.143
0.824 0.761 0.254
0.838 0.665 0.029
0.894 0.329 0.590
0.896 0.148 0.411
0.946 0.462 0.226
```

Main lines, by intensity (15° ≤ 2θ ≤ 90°):
h k l	Position (°2θ)	I/Imax
1 1 1	16.28	1000
1 1 -2	27.66	759
0 2 1	23.31	428
1 -1 2	26.26	356
0 2 0	22.64	348
2 0 0	27.03	319